For LiCd8Cu4, a cell relaxed with PBE gives the theoretical X-ray powder pattern in this record (Cu Kα, 1.54184 Å).

Most intense lines, 2θ from 10° to 90°, by angle:
- 26.51 deg, intensity 26, hkl 2 2 0
- 32.73 deg, intensity 28, hkl 3 0 1
- 37.90 deg, intensity 100, hkl 4 0 0
- 38.24 deg, intensity 22, hkl 2 0 2
- 42.56 deg, intensity 60, hkl 4 2 0
- 42.88 deg, intensity 84, hkl 2 2 2

```
data_LiCd8Cu4
_chemical_formula_sum 'Li2 Cd16 Cu8'
_cell_length_a 9.5087
_cell_length_b 9.5087
_cell_length_c 5.4174
_cell_angle_alpha 90.00
_cell_angle_beta 90.00
_cell_angle_gamma 90.00
_symmetry_space_group_name_H-M 'I 4/m m m'
_symmetry_Int_Tables_number 139
_symmetry_space_group_name_Hall '-I 4 2'
loop_
_atom_site_label
_atom_site_type_symbol
_atom_site_fract_x
_atom_site_fract_y
_atom_site_fract_z
Li1 Li 0.0000 0.0000 0.0000
Cd1 Cd 0.0000 0.2158 0.5000
Cd2 Cd 0.0000 0.3289 0.0000
Cu1 Cu 0.2500 0.2500 0.2500
```